Record 1
Starting from a crystal structure in Alexandria, relaxed with PBE, the XRD peak list of CeThSi4 was simulated for Cu Kα X-rays.
Neutral-atom scattering factors, no anomalous dispersion.

Main lines, low angle first (5° ≤ 2θ ≤ 70°):
| 2θ (°) | Rel. int. | (hkl) |
| --- | --- | --- |
| 22.5 | 55 | 1 0 1 |
| 24.9 | 27 | 0 0 4 |
| 28.7 | 57 | 1 0 3 |
| 33.2 | 100 | 1 1 2 |
| 38.3 | 42 | 1 0 5 |
| 44.0 | 30 | 2 0 0 |
| 49.8 | 20 | 1 0 7 |
| 53.4 | 21 | 2 1 3 |
| 59.7 | 23 | 2 1 5 |
| 68.7 | 18 | 2 1 7 |

Cell and atoms:
Cell lengths 4.1162, 4.1162, 14.2960 Å; angles 90.00, 90.00, 90.00 degrees
Space group I-4m2 (No. 119)
Asymmetric unit:
Ce1 0.0000 0.0000 0.0000 x2
Th1 0.0000 0.5000 0.2500 x2
Si1 0.0000 0.0000 0.4176 x4
Si2 0.0000 0.5000 0.6660 x4

***

Record 2
Starting from a crystal structure in Alexandria, relaxed with PBE, the XRD peak list of Pm3Hg3Au was simulated for Cu Kα X-rays.
Neutral-atom scattering factors, no anomalous dispersion.

Main lines, low angle first (5° ≤ 2θ ≤ 70°):
| 2θ (°) | Rel. int. | (hkl) |
| --- | --- | --- |
| 24.6 | 20 | 1 0 1 |
| 31.7 | 100 | 1 1 2 |
| 32.5 | 36 | 1 0 5 |
| 35.1 | 22 | 1 1 4 |
| 35.4 | 78 | 0 1 7 |
| 36.8 | 47 | 0 2 0 |
| 40.3 | 42 | 1 1 6 |
| 49.6 | 20 | 2 0 0 |
| 49.9 | 22 | 1 2 5 |
| 62.4 | 31 | 2 1 7 |

Cell and atoms:
Cell lengths 3.6759, 4.8871, 20.7718 Å; angles 90.00, 90.00, 90.00 degrees
Space group Imm2 (No. 44)
Asymmetric unit:
Pm1 0.0000 0.0000 0.0000 x2
Pm2 0.0000 0.0000 0.3839 x2
Pm3 0.0000 0.5000 0.2036 x2
Hg1 0.0000 0.0000 0.5458 x2
Hg2 0.0000 0.0000 0.8422 x2
Hg3 0.0000 0.5000 0.6285 x2
Au1 0.0000 0.5000 0.7628 x2

***

Record 3
Starting from a crystal structure in Alexandria, relaxed with PBE, the XRD peak list of La3Ho8Tm4 was simulated for Cu Kα X-rays.
Neutral-atom scattering factors, no anomalous dispersion.

Main lines, low angle first (5° ≤ 2θ ≤ 70°):
| 2θ (°) | Rel. int. | (hkl) |
| --- | --- | --- |
| 27.8 | 36 | 0 4 0 |
| 30.7 | 100 | 0 0 2 |
| 30.9 | 49 | 4 0 0 |
| 31.9 | 28 | 0 4 1 |
| 38.9 | 12 | 4 4 -1 |
| 41.9 | 46 | 0 4 2 |
| 42.1 | 23 | 4 4 0 |
| 54.9 | 19 | 4 0 2 |
| 64.0 | 12 | 0 0 4 |
| 66.6 | 20 | 0 8 2 |

Cell and atoms:
Cell lengths 13.3789, 12.8284, 6.7387 Å; angles 90.00, 120.18, 90.00 degrees
Space group C2/m (No. 12)
Asymmetric unit:
La1 0.0000 0.0000 0.0000 x2
La2 0.2500 0.2500 0.5000 x4
Ho1 0.0000 0.1401 0.5000 x4
Ho2 0.0000 0.2484 0.0000 x4
Ho3 0.2333 0.0000 0.5050 x4
Ho4 0.2424 0.0000 0.9897 x4
Tm1 0.0000 0.5000 0.0000 x2
Tm2 0.0000 0.5000 0.5000 x2
Tm3 0.2500 0.2500 0.0000 x4

***

Record 4
Starting from a crystal structure in Alexandria, relaxed with PBE, the XRD peak list of AgTeBr5 was simulated for Cu Kα X-rays.
Neutral-atom scattering factors, no anomalous dispersion.

Main lines, low angle first (5° ≤ 2θ ≤ 70°):
| 2θ (°) | Rel. int. | (hkl) |
| --- | --- | --- |
| 12.7 | 24 | 1 1 -1 |
| 18.2 | 100 | 1 1 1 |
| 19.6 | 57 | 2 0 -2 |
| 23.4 | 28 | 2 2 -1 |
| 26.5 | 23 | 1 3 -1 |
| 27.0 | 24 | 3 1 -2 |
| 30.7 | 24 | 3 1 -3 |
| 32.9 | 63 | 2 0 2 |
| 38.2 | 29 | 2 4 0 |
| 38.4 | 35 | 0 4 2 |

Cell and atoms:
Cell lengths 10.6817, 10.8834, 10.4556 Å; angles 90.00, 117.93, 90.00 degrees
Space group C2/c (No. 15)
Asymmetric unit:
Ag1 0.0000 0.0982 0.2500 x4
Te1 0.2500 0.2500 0.0000 x4
Br1 0.0000 0.3213 0.7500 x4
Br2 0.1158 0.2870 0.1621 x8
Br3 0.1972 0.0038 0.9899 x8

***

Record 5
Starting from a crystal structure in Alexandria, relaxed with PBE, the XRD peak list of Sr2HfS4 was simulated for Cu Kα X-rays.
Neutral-atom scattering factors, no anomalous dispersion.

Main lines, low angle first (5° ≤ 2θ ≤ 70°):
| 2θ (°) | Rel. int. | (hkl) |
| --- | --- | --- |
| 14.1 | 75 | 1 1 0 |
| 25.4 | 84 | 1 3 0 |
| 26.4 | 100 | 1 1 1 |
| 26.8 | 27 | 0 2 1 |
| 32.3 | 21 | 1 4 0 |
| 33.9 | 42 | 2 1 1 |
| 36.4 | 54 | 2 2 1 |
| 45.3 | 34 | 0 0 2 |
| 45.8 | 46 | 1 5 1 |
| 52.6 | 24 | 1 3 2 |

Cell and atoms:
Cell lengths 7.3645, 11.9846, 4.0025 Å; angles 90.00, 90.00, 90.00 degrees
Space group Pbam (No. 55)
Asymmetric unit:
Sr1 0.0906 0.1814 0.0000 x4
Hf1 0.0000 0.5000 0.5000 x2
S1 0.1215 0.6961 0.5000 x4
S2 0.2200 0.4508 0.0000 x4

***

Record 6
Starting from a crystal structure in Alexandria, relaxed with PBE, the XRD peak list of TbHfRe was simulated for Cu Kα X-rays.
Neutral-atom scattering factors, no anomalous dispersion.

Main lines, low angle first (5° ≤ 2θ ≤ 70°):
| 2θ (°) | Rel. int. | (hkl) |
| --- | --- | --- |
| 14.2 | 30 | 0 2 0 |
| 28.7 | 6 | 0 4 0 |
| 34.5 | 100 | 1 3 1 |
| 37.8 | 27 | 0 0 2 |
| 38.5 | 26 | 2 0 0 |
| 45.4 | 33 | 1 5 1 |
| 55.0 | 19 | 2 0 2 |
| 59.3 | 5 | 0 8 0 |
| 66.1 | 15 | 1 3 3 |
| 67.1 | 14 | 3 3 1 |

Cell and atoms:
Cell lengths 4.6777, 12.4626, 4.7606 Å; angles 90.00, 90.00, 90.00 degrees
Space group Cmcm (No. 63)
Asymmetric unit:
Tb1 0.0000 0.1057 0.2500 x4
Hf1 0.0000 0.3660 0.2500 x4
Re1 0.0000 0.2481 0.7500 x4

***

Copy entry 6 word for word.
Starting from a crystal structure in Alexandria, relaxed with PBE, the XRD peak list of TbHfRe was simulated for Cu Kα X-rays.
Neutral-atom scattering factors, no anomalous dispersion.

Main lines, low angle first (5° ≤ 2θ ≤ 70°):
| 2θ (°) | Rel. int. | (hkl) |
| --- | --- | --- |
| 14.2 | 30 | 0 2 0 |
| 28.7 | 6 | 0 4 0 |
| 34.5 | 100 | 1 3 1 |
| 37.8 | 27 | 0 0 2 |
| 38.5 | 26 | 2 0 0 |
| 45.4 | 33 | 1 5 1 |
| 55.0 | 19 | 2 0 2 |
| 59.3 | 5 | 0 8 0 |
| 66.1 | 15 | 1 3 3 |
| 67.1 | 14 | 3 3 1 |

Cell and atoms:
Cell lengths 4.6777, 12.4626, 4.7606 Å; angles 90.00, 90.00, 90.00 degrees
Space group Cmcm (No. 63)
Asymmetric unit:
Tb1 0.0000 0.1057 0.2500 x4
Hf1 0.0000 0.3660 0.2500 x4
Re1 0.0000 0.2481 0.7500 x4